Entry 1:
Calculated XRD peak list
Compound: ErCo6B2
Radiation: CuKα
Structure: a cell relaxed with PBE
Kinematic intensities with the Lorentz-polarization factor, no thermal factor.

Structural model:
Unit cell a=9.779 b=9.779 c=9.779 alpha=90.00 beta=90.00 gamma=90.00
Space group Fd-3m (No. 227, origin choice 2)
Symmetry-distinct sites (fractional):
Er 0.125 0.125 0.125 x8
Co 0.084 0.375 0.875 x48
B 0.000 0.000 0.500 x16

Largest 10 diffraction maxima, by intensity, 2θ = 10–90°:
2theta, d_spacing, I (rel.), h k l
36.76, 2.445, 100.0, 4 0 0
40.20, 2.244, 64.6, 3 3 1
30.31, 2.949, 63.5, 3 1 1
52.97, 1.729, 58.3, 4 4 0
74.53, 1.273, 27.3, 7 3 1
48.36, 1.882, 26.7, 3 3 3
80.37, 1.195, 17.7, 7 3 3
59.81, 1.546, 14.8, 6 2 0
25.77, 3.457, 12.3, 2 2 0
66.21, 1.412, 12.2, 4 4 4

=====

Entry 2:
Calculated XRD peak list
Compound: Cs2AlBiTe4
Radiation: CuKα
Structure: a cell relaxed with PBE
Kinematic intensities with the Lorentz-polarization factor, no thermal factor.

Structural model:
Unit cell a=7.135 b=15.881 c=27.196 alpha=90.00 beta=90.00 gamma=90.00
Space group Fddd (No. 70, origin choice 2)
Symmetry-distinct sites (fractional):
Cs 0.125 0.125 0.307 x16
Al 0.125 0.125 0.625 x8
Bi 0.125 0.125 0.125 x8
Te 0.087 0.276 0.818 x32

Largest 10 diffraction maxima, by intensity, 2θ = 10–90°:
2theta, d_spacing, I (rel.), h k l
26.61, 3.350, 100.0, 1 3 5
21.15, 4.200, 56.0, 1 3 1
23.11, 3.849, 42.6, 1 3 3
31.92, 2.803, 41.1, 2 0 6
42.53, 2.126, 29.3, 2 6 0
39.40, 2.287, 29.0, 0 6 6
41.77, 2.163, 28.9, 2 0 10
22.59, 3.936, 28.0, 0 2 6
13.02, 6.799, 27.3, 0 0 4
12.91, 6.857, 24.4, 0 2 2

=====

Please write out number 2 again, unchanged.
Calculated XRD peak list
Compound: Cs2AlBiTe4
Radiation: CuKα
Structure: a cell relaxed with PBE
Kinematic intensities with the Lorentz-polarization factor, no thermal factor.

Structural model:
Unit cell a=7.135 b=15.881 c=27.196 alpha=90.00 beta=90.00 gamma=90.00
Space group Fddd (No. 70, origin choice 2)
Symmetry-distinct sites (fractional):
Cs 0.125 0.125 0.307 x16
Al 0.125 0.125 0.625 x8
Bi 0.125 0.125 0.125 x8
Te 0.087 0.276 0.818 x32

Largest 10 diffraction maxima, by intensity, 2θ = 10–90°:
2theta, d_spacing, I (rel.), h k l
26.61, 3.350, 100.0, 1 3 5
21.15, 4.200, 56.0, 1 3 1
23.11, 3.849, 42.6, 1 3 3
31.92, 2.803, 41.1, 2 0 6
42.53, 2.126, 29.3, 2 6 0
39.40, 2.287, 29.0, 0 6 6
41.77, 2.163, 28.9, 2 0 10
22.59, 3.936, 28.0, 0 2 6
13.02, 6.799, 27.3, 0 0 4
12.91, 6.857, 24.4, 0 2 2

=====

Copy entry 2 word for word.
Calculated XRD peak list
Compound: Cs2AlBiTe4
Radiation: CuKα
Structure: a cell relaxed with PBE
Kinematic intensities with the Lorentz-polarization factor, no thermal factor.

Structural model:
Unit cell a=7.135 b=15.881 c=27.196 alpha=90.00 beta=90.00 gamma=90.00
Space group Fddd (No. 70, origin choice 2)
Symmetry-distinct sites (fractional):
Cs 0.125 0.125 0.307 x16
Al 0.125 0.125 0.625 x8
Bi 0.125 0.125 0.125 x8
Te 0.087 0.276 0.818 x32

Largest 10 diffraction maxima, by intensity, 2θ = 10–90°:
2theta, d_spacing, I (rel.), h k l
26.61, 3.350, 100.0, 1 3 5
21.15, 4.200, 56.0, 1 3 1
23.11, 3.849, 42.6, 1 3 3
31.92, 2.803, 41.1, 2 0 6
42.53, 2.126, 29.3, 2 6 0
39.40, 2.287, 29.0, 0 6 6
41.77, 2.163, 28.9, 2 0 10
22.59, 3.936, 28.0, 0 2 6
13.02, 6.799, 27.3, 0 0 4
12.91, 6.857, 24.4, 0 2 2

=====

> What is the formula in the first record?

ErCo6B2